For Tb3Pm6Ho2Sc, a cell relaxed with GGA-PBE gives the simulated PXRD pattern in this record (Cu Ka).
Intensities are scaled so that the largest is 100.

Structure:
```
data_Tb3Pm6Ho2Sc
_cell_length_a 6.2108
_cell_length_b 10.7543
_cell_length_c 11.7563
_cell_angle_alpha 90.00
_cell_angle_beta 100.11
_cell_angle_gamma 90.00
_space_group_name_H-M_alt 'C 1 2/m 1'
_space_group_IT_number 12
_space_group_name_Hall '-C 2y'
loop_
_atom_site_label
_atom_site_fract_x
_atom_site_fract_y
_atom_site_fract_z
Tb1 0.0000 0.0000 0.0000
Tb2 0.0000 0.3334 0.0000
Pm1 0.2474 0.3347 0.7464
Pm2 0.2486 0.5000 0.2533
Ho1 0.0000 0.1667 0.5000
Sc1 0.0000 0.5000 0.5000
```

Principal peaks in the range 5 to 70 degrees two-theta, most intense first:
| Position (°2θ) | I_rel | index |
| --- | --- | --- |
| 30.6 | 100.0 | 1 3 1 |
| 35.6 | 66.7 | 2 0 2 |
| 30.9 | 32.2 | 0 0 4 |
| 60.8 | 28.1 | 3 3 3 |
| 50.9 | 24.0 | 0 6 0 |
| 51.4 | 23.3 | 1 3 5 |
| 60.6 | 14.3 | 4 0 0 |
| 61.2 | 13.8 | 2 0 6 |

For Tb4PmHo2Sc, a cell relaxed with GGA-PBE gives the simulated PXRD pattern in this record (Cu Ka).
Intensities are scaled so that the largest is 100.

Structure:
```
data_Tb4PmHo2Sc
_cell_length_a 12.1929
_cell_length_b 7.0598
_cell_length_c 12.2043
_cell_angle_alpha 90.00
_cell_angle_beta 109.47
_cell_angle_gamma 90.00
_space_group_name_H-M_alt 'C 1 2/m 1'
_space_group_IT_number 12
_space_group_name_Hall '-C 2y'
loop_
_atom_site_label
_atom_site_fract_x
_atom_site_fract_y
_atom_site_fract_z
Tb1 0.0007 0.2482 0.2515
Tb2 0.2479 0.0000 0.7453
Tb3 0.2494 0.0000 0.2497
Pm1 0.2500 0.2500 0.0000
Ho1 0.0000 0.5000 0.0000
Ho2 0.0000 0.5000 0.5000
Ho3 0.2500 0.2500 0.5000
Sc1 0.0000 0.0000 0.0000
Sc2 0.0000 0.0000 0.5000
```

Principal peaks in the range 5 to 70 degrees two-theta, most intense first:
| Position (°2θ) | I_rel | index |
| --- | --- | --- |
| 31.1 | 100.0 | 4 0 0 |
| 36.0 | 50.5 | 2 2 2 |
| 61.7 | 21.1 | 4 4 0 |
| 61.8 | 21.0 | 8 0 -4 |
| 51.9 | 17.8 | 0 4 0 |
| 51.9 | 17.8 | 6 2 -2 |
| 64.8 | 9.1 | 4 4 -4 |
| 64.9 | 3.0 | 8 0 0 |